(1)
This entry pairs a crystal structure of Nd2MgS4 with its calculated powder diffractogram. Radiation: Cu Kα (weighted mean of Kα1 and Kα2). Structure: a GGA-PBE-relaxed structure.
Kinematic intensities with the Lorentz-polarization factor, no thermal factor.

a = 7.369 Å, b = 7.369 Å, c = 7.369 Å
α = 110.96°, β = 110.96°, γ = 106.53°
Positions (direct):
1 Nd 0.007 0.625 0.882
2 Nd 0.375 0.257 0.382
3 Nd 0.743 0.125 0.118
4 Nd 0.875 0.993 0.618
5 Mg 0.250 0.750 0.500
6 Mg 0.500 0.500 0.000
7 S 0.006 0.877 0.267
8 S 0.123 0.390 0.130
9 S 0.140 0.373 0.630
10 S 0.261 0.994 0.870
11 S 0.489 0.860 0.233
12 S 0.610 0.739 0.733
13 S 0.627 0.256 0.767
14 S 0.744 0.511 0.370

Main lines, low angle first (2θ = 10–90°):
d/Å  2θ/deg  I/Imax
6.063  14.61  55
4.176  21.28  44
3.532  25.21  91
3.439  25.91  100
2.772  32.30  50
2.655  33.77  50
2.641  33.95  99
2.309  39.00  89
2.240  40.26  56
1.887  48.23  37
1.819  50.15  40
1.692  54.21  27


(2)
This entry pairs a crystal structure of Si3Ag3Sn2P6 with its calculated powder diffractogram. Radiation: Cu Kα (weighted mean of Kα1 and Kα2). Structure: a GGA-PBE-relaxed structure.
Kinematic intensities with the Lorentz-polarization factor, no thermal factor.

a = 9.071 Å, b = 9.071 Å, c = 9.071 Å
α = 109.47°, β = 109.47°, γ = 109.47°
Positions (direct):
1 Si 0.250 0.500 0.750
2 Si 0.250 0.750 0.500
3 Si 0.500 0.250 0.750
4 Si 0.500 0.750 0.250
5 Si 0.750 0.250 0.500
6 Si 0.750 0.500 0.250
7 Ag 0.000 0.199 0.199
8 Ag 0.000 0.801 0.801
9 Ag 0.199 0.000 0.199
10 Ag 0.199 0.199 0.000
11 Ag 0.801 0.000 0.801
12 Ag 0.801 0.801 0.000
13 Sn 0.000 0.000 0.590
14 Sn 0.000 0.590 0.000
15 Sn 0.410 0.410 0.410
16 Sn 0.590 0.000 0.000
17 P 0.000 0.248 0.499
18 P 0.000 0.499 0.248
19 P 0.248 0.000 0.499
20 P 0.248 0.499 0.000
21 P 0.251 0.752 0.752
22 P 0.499 0.000 0.248
23 P 0.499 0.248 0.000
24 P 0.501 0.501 0.749
25 P 0.501 0.749 0.501
26 P 0.749 0.501 0.501
27 P 0.752 0.251 0.752
28 P 0.752 0.752 0.251

Main lines, low angle first (2θ = 10–90°):
d/Å  2θ/deg  I/Imax
7.406  11.95  76
4.276  20.77  17
3.024  29.54  100
2.799  31.97  29
2.469  36.39  30
2.233  40.39  56
2.054  44.09  55
1.852  49.21  27
1.699  53.97  20
1.481  62.73  16
1.330  70.84  30
1.289  73.45  13